The following is a calculated XRD peak list of PrSbSe3. It was derived from a DFT-relaxed cell (GGA-PBE, Alexandria), using Cu Kα.

The 10 most intense peaks (2θ from 10° to 90°), in order of rising 2θ:
2θ 16.77, I 462, (0 4 0); 2θ 24.60, I 410, (1 1 1); 2θ 27.38, I 698, (1 3 1); 2θ 29.43, I 311, (0 4 2); 2θ 32.29, I 1000, (1 5 1); 2θ 35.14, I 569, (0 6 2); 2θ 38.60, I 447, (1 7 1); 2θ 42.59, I 706, (1 1 3); 2θ 42.78, I 325, (2 0 0); 2θ 56.51, I 293, (2 6 2)

Cell and atoms:
abc: 4.2280 21.1415 7.4143
angles: 90.00 90.00 90.00
Space group Ama2 (No. 40)
Unique sites:
Pr  0.2500  0.1659  0.0000
Sb  0.2500  0.3480  0.0070
Se  0.2500  0.0886  0.3456
Se  0.2500  0.2504  0.6712
Se  0.2500  0.4091  0.3222